Record 1
# CaEuAlBiO6
Simulated PXRD pattern, copper Kα. Input: a crystal structure in the Materials Project, relaxed with PBE.

Unit cell a=8.549 b=8.749 c=8.792 alpha=90.00 beta=90.00 gamma=90.00
Fractional positions:
Ca  0.000  0.000  0.000
Ca  0.000  0.000  0.500
Ca  0.000  0.500  0.000
Ca  0.500  0.000  0.500
Eu  0.000  0.500  0.500
Eu  0.500  0.000  0.000
Eu  0.500  0.500  0.000
Eu  0.500  0.500  0.500
Al  0.245  0.246  0.249
Al  0.245  0.754  0.751
Al  0.755  0.246  0.751
Al  0.755  0.754  0.249
Bi  0.239  0.240  0.750
Bi  0.239  0.760  0.250
Bi  0.761  0.240  0.250
Bi  0.761  0.760  0.750
O  0.013  0.224  0.221
O  0.013  0.776  0.779
O  0.224  0.222  0.483
O  0.224  0.481  0.275
O  0.224  0.519  0.725
O  0.224  0.778  0.517
O  0.278  0.278  0.019
O  0.278  0.722  0.981
O  0.282  0.015  0.222
O  0.282  0.985  0.778
O  0.482  0.275  0.276
O  0.482  0.725  0.724
O  0.518  0.275  0.724
O  0.518  0.725  0.276
O  0.718  0.015  0.778
O  0.718  0.985  0.222
O  0.722  0.278  0.981
O  0.722  0.722  0.019
O  0.776  0.222  0.517
O  0.776  0.481  0.725
O  0.776  0.519  0.275
O  0.776  0.778  0.483
O  0.987  0.224  0.779
O  0.987  0.776  0.221

Peak list (10 most intense, 2θ from 15° to 90°, low angle first)
2θ = 17.67°, intensity 57
2θ = 28.79°, intensity 52
2θ = 29.18°, intensity 100
2θ = 33.92°, intensity 15
2θ = 41.07°, intensity 17
2θ = 41.27°, intensity 16
2θ = 42.29°, intensity 15
2θ = 51.19°, intensity 23
2θ = 51.32°, intensity 22
2θ = 51.96°, intensity 21


Record 2
# Ge3P
Simulated PXRD pattern, copper Kα. Input: a crystal structure in the Materials Project, relaxed with PBE.

Unit cell a=5.905 b=5.905 c=4.855 alpha=90.00 beta=90.00 gamma=120.00
Fractional positions:
Ge  0.170  0.340  0.250
Ge  0.170  0.830  0.250
Ge  0.340  0.170  0.750
Ge  0.660  0.830  0.250
Ge  0.830  0.170  0.750
Ge  0.830  0.660  0.750
P  0.333  0.667  0.750
P  0.667  0.333  0.250

Peak list (10 most intense, 2θ from 15° to 90°, low angle first)
2θ = 25.30°, intensity 11
2θ = 30.27°, intensity 4
2θ = 35.09°, intensity 24
2θ = 37.04°, intensity 27
2θ = 39.85°, intensity 100
2θ = 51.94°, intensity 15
2θ = 62.96°, intensity 17
2θ = 68.64°, intensity 19
2θ = 75.35°, intensity 20
2θ = 77.15°, intensity 14


Record 3
# RhCl3
Simulated PXRD pattern, copper Kα. Input: a crystal structure in the Materials Project, relaxed with PBE.

Unit cell a=6.093 b=10.549 c=6.521 alpha=90.00 beta=108.14 gamma=90.00
Fractional positions:
Rh  0.000  0.167  0.000
Rh  0.000  0.833  0.000
Rh  0.500  0.333  0.000
Rh  0.500  0.667  0.000
Cl  0.217  0.000  0.212
Cl  0.247  0.323  0.212
Cl  0.247  0.677  0.212
Cl  0.253  0.177  0.788
Cl  0.253  0.823  0.788
Cl  0.283  0.500  0.788
Cl  0.717  0.500  0.212
Cl  0.747  0.177  0.212
Cl  0.747  0.823  0.212
Cl  0.753  0.323  0.788
Cl  0.753  0.677  0.788
Cl  0.783  0.000  0.788

Peak list (10 most intense, 2θ from 15° to 90°, low angle first)
2θ = 16.81°, intensity 19
2θ = 17.47°, intensity 34
2θ = 19.35°, intensity 25
2θ = 22.13°, intensity 16
2θ = 29.72°, intensity 35
2θ = 35.23°, intensity 100
2θ = 45.30°, intensity 29
2θ = 49.33°, intensity 31
2θ = 52.01°, intensity 34
2θ = 54.22°, intensity 22


Record 4
# ErBiO3
Simulated PXRD pattern, copper Kα. Input: a crystal structure in the Materials Project, relaxed with PBE.

Unit cell a=6.136 b=6.136 c=6.136 alpha=58.52 beta=58.52 gamma=58.52
Fractional positions:
Er  0.000  0.000  0.000
Er  0.500  0.500  0.500
Bi  0.286  0.286  0.286
Bi  0.786  0.786  0.786
O  0.136  0.353  0.690
O  0.190  0.853  0.636
O  0.353  0.690  0.136
O  0.636  0.190  0.853
O  0.690  0.136  0.353
O  0.853  0.636  0.190

Peak list (10 most intense, 2θ from 15° to 90°, low angle first)
2θ = 20.71°, intensity 20
2θ = 29.12°, intensity 91
2θ = 29.79°, intensity 100
2θ = 42.14°, intensity 39
2θ = 46.96°, intensity 31
2θ = 52.46°, intensity 40
2θ = 52.87°, intensity 26
2θ = 61.87°, intensity 14
2θ = 69.81°, intensity 16
2θ = 85.70°, intensity 12


Record 5
# NaNdF4
Simulated PXRD pattern, copper Kα. Input: a crystal structure in the Materials Project, relaxed with PBE.

Unit cell a=6.185 b=7.206 c=7.214 alpha=62.55 beta=64.66 gamma=64.69
Fractional positions:
Na  0.000  0.000  0.000
Na  0.003  0.482  0.481
Na  0.668  0.416  0.233
Nd  0.335  0.492  0.824
Nd  0.339  0.990  0.321
Nd  0.672  0.913  0.731
F  0.092  0.236  0.066
F  0.092  0.727  0.553
F  0.312  0.881  0.706
F  0.319  0.372  0.204
F  0.381  0.272  0.636
F  0.384  0.814  0.091
F  0.593  0.619  0.450
F  0.615  0.121  0.947
F  0.699  0.538  0.820
F  0.702  0.999  0.355
F  0.931  0.701  0.977
F  0.933  0.156  0.518

Peak list (10 most intense, 2θ from 15° to 90°, low angle first)
2θ = 16.58°, intensity 85
2θ = 28.90°, intensity 48
2θ = 28.98°, intensity 24
2θ = 29.12°, intensity 100
2θ = 41.50°, intensity 67
2θ = 48.65°, intensity 13
2θ = 51.21°, intensity 21
2θ = 51.33°, intensity 33
2θ = 51.42°, intensity 39
2θ = 51.75°, intensity 15


Record 6
# Er2In3Cu
Simulated PXRD pattern, copper Kα. Input: a crystal structure in the Materials Project, relaxed with PBE.

Unit cell a=4.720 b=4.720 c=7.394 alpha=90.00 beta=90.00 gamma=120.00
Fractional positions:
Er  0.000  0.000  0.000
Er  0.000  0.000  0.460
In  0.333  0.667  0.218
In  0.333  0.667  0.788
In  0.667  0.333  0.671
Cu  0.667  0.333  0.278

Peak list (10 most intense, 2θ from 15° to 90°, low angle first)
2θ = 21.74°, intensity 9
2θ = 24.89°, intensity 12
2θ = 32.66°, intensity 100
2θ = 38.13°, intensity 73
2θ = 42.84°, intensity 16
2θ = 51.06°, intensity 28
2θ = 63.98°, intensity 11
2θ = 65.48°, intensity 26
2θ = 68.92°, intensity 12
2θ = 81.59°, intensity 10


Record 7
# LiZn2Ni
Simulated PXRD pattern, copper Kα. Input: a crystal structure in the Materials Project, relaxed with PBE.

Unit cell a=5.876 b=5.876 c=5.876 alpha=90.00 beta=90.00 gamma=90.00
Fractional positions:
Li  0.000  0.000  0.000
Li  0.000  0.500  0.500
Li  0.500  0.000  0.500
Li  0.500  0.500  0.000
Zn  0.250  0.250  0.250
Zn  0.250  0.250  0.750
Zn  0.250  0.750  0.250
Zn  0.250  0.750  0.750
Zn  0.750  0.250  0.250
Zn  0.750  0.250  0.750
Zn  0.750  0.750  0.250
Zn  0.750  0.750  0.750
Ni  0.000  0.000  0.500
Ni  0.000  0.500  0.000
Ni  0.500  0.000  0.000
Ni  0.500  0.500  0.500

Peak list (10 most intense, 2θ from 15° to 90°, low angle first)
2θ = 26.27°, intensity 21
2θ = 30.43°, intensity 16
2θ = 43.57°, intensity 100
2θ = 51.59°, intensity 9
2θ = 54.06°, intensity 4
2θ = 63.31°, intensity 15
2θ = 69.76°, intensity 3
2θ = 71.85°, intensity 5
2θ = 79.99°, intensity 30
2θ = 85.96°, intensity 3